[1]
Diffraction record for ZrNbFe4. The XRD peak list is theoretical, not measured: it uses a cell relaxed with PBE and Cu Ka.
Neutral-atom scattering factors, no anomalous dispersion.

The 8 most intense peaks (2θ = 15–90°), by angle:
d 4.011, 2θ = 22.16°, I = 1; d 2.456, 2θ = 36.59°, I = 46; d 2.095, 2θ = 43.19°, I = 100; d 2.005, 2θ = 45.22°, I = 25; d 1.418, 2θ = 65.87°, I = 16; d 1.337, 2θ = 70.43°, I = 29; d 1.228, 2θ = 77.77°, I = 23; d 1.098, 2θ = 89.15°, I = 7

Crystal structure
```
6
Lattice="0.0000 3.4734 3.4734 3.4734 0.0000 3.4734 3.4734 3.4734 0.0000" Properties=species:S:1:pos:R:3 pbc="T T T"
Zr 0.0000 0.0000 0.0000
Nb 5.2101 5.2101 5.2101
Fe 2.6074 2.6074 2.6074
Fe 4.3395 4.3395 2.6074
Fe 4.3395 2.6074 4.3395
Fe 2.6074 4.3395 4.3395
```

[2]
Diffraction record for BeAu. The XRD peak list is theoretical, not measured: it uses a cell relaxed with PBE and Cu Ka.
Neutral-atom scattering factors, no anomalous dispersion.

The 10 most intense peaks (2θ = 15–90°), by angle:
d 3.340, 2θ = 26.69°, I = 79; d 2.727, 2θ = 32.84°, I = 52; d 2.362, 2θ = 38.10°, I = 11; d 2.112, 2θ = 42.81°, I = 100; d 1.928, 2θ = 47.13°, I = 39; d 1.494, 2θ = 62.14°, I = 24; d 1.364, 2θ = 68.86°, I = 11; d 1.310, 2θ = 72.09°, I = 20; d 1.262, 2θ = 75.28°, I = 31; d 1.146, 2θ = 84.59°, I = 12

Crystal structure
```
8
Lattice="4.7236 0.0000 0.0000 0.0000 4.7236 0.0000 0.0000 0.0000 4.7236" Properties=species:S:1:pos:R:3 pbc="T T T"
Be 0.7248 1.6369 3.0866
Be 1.6369 3.0866 0.7248
Be 3.0866 0.7248 1.6369
Be 3.9987 3.9987 3.9987
Au 0.7324 0.7324 0.7324
Au 1.6294 3.9911 3.0942
Au 3.0942 1.6294 3.9911
Au 3.9911 3.0942 1.6294
```

[3]
Diffraction record for Sb2O5. The XRD peak list is theoretical, not measured: it uses a cell relaxed with PBE and Cu Ka.
Neutral-atom scattering factors, no anomalous dispersion.

The 10 most intense peaks (2θ = 15–90°), by angle:
d 3.851, 2θ = 23.10°, I = 100; d 3.717, 2θ = 23.94°, I = 46; d 2.917, 2θ = 30.64°, I = 16; d 2.674, 2θ = 33.51°, I = 44; d 2.563, 2θ = 35.01°, I = 12; d 1.925, 2θ = 47.21°, I = 14; d 1.818, 2θ = 50.17°, I = 10; d 1.710, 2θ = 53.61°, I = 15; d 1.674, 2θ = 54.85°, I = 18; d 1.633, 2θ = 56.32°, I = 10

Crystal structure
```
14
Lattice="5.8349 0.0000 0.0000 0.0000 10.2510 0.0000 0.0000 0.0000 3.7170" Properties=species:S:1:pos:R:3 pbc="T T T"
Sb 1.3003 1.4323 0.0000
Sb 1.6171 6.5578 0.0000
Sb 4.2177 3.6932 0.0000
Sb 4.5346 8.8187 0.0000
O 0.0000 0.0000 0.0000
O 0.2873 3.0583 0.0000
O 1.1944 6.1192 1.8585
O 1.7230 0.9937 1.8585
O 2.6302 8.1838 0.0000
O 2.9174 5.1255 0.0000
O 3.2047 2.0672 0.0000
O 4.1119 9.2574 1.8585
O 4.6404 4.1318 1.8585
O 5.5476 7.1928 0.0000
```

[4]
Diffraction record for MgIn2Te4. The XRD peak list is theoretical, not measured: it uses a cell relaxed with PBE and Cu Ka.
Neutral-atom scattering factors, no anomalous dispersion.

The 10 most intense peaks (2θ = 15–90°), by angle:
d 5.699, 2θ = 15.55°, I = 11; d 3.678, 2θ = 24.20°, I = 100; d 3.533, 2θ = 25.21°, I = 10; d 2.782, 2θ = 32.18°, I = 14; d 2.253, 2θ = 40.03°, I = 68; d 1.921, 2θ = 47.32°, I = 43; d 1.593, 2θ = 57.89°, I = 10; d 1.462, 2θ = 63.66°, I = 16; d 1.301, 2θ = 72.71°, I = 18; d 1.226, 2θ = 77.91°, I = 10

Crystal structure
```
7
Lattice="-3.1868 3.1868 6.3664 3.1868 -3.1868 6.3664 3.1868 3.1868 -6.3664" Properties=species:S:1:pos:R:3 pbc="T T T"
Mg 0.0000 0.0000 0.0000
In 3.1868 0.0000 3.1832
In 0.0000 0.0000 6.3664
Te 1.7366 1.4500 -1.7249
Te 1.7369 -1.4502 8.0913
Te 1.4502 1.7369 4.6416
Te 1.4500 4.6371 1.7249
```

[5]
Diffraction record for SmMnGe. The XRD peak list is theoretical, not measured: it uses a cell relaxed with PBE and Cu Ka.
Neutral-atom scattering factors, no anomalous dispersion.

The 10 most intense peaks (2θ = 15–90°), by angle:
d 3.743, 2θ = 23.77°, I = 17; d 2.688, 2θ = 33.34°, I = 73; d 2.679, 2θ = 33.45°, I = 20; d 2.614, 2θ = 34.31°, I = 100; d 2.472, 2θ = 36.34°, I = 30; d 2.326, 2θ = 38.70°, I = 19; d 2.235, 2θ = 40.35°, I = 23; d 2.126, 2θ = 42.51°, I = 33; d 1.441, 2θ = 64.68°, I = 18; d 1.304, 2θ = 72.51°, I = 19

Crystal structure
```
12
Lattice="7.3050 0.0000 0.0000 0.0000 4.2529 0.0000 0.0000 0.0000 7.8812" Properties=species:S:1:pos:R:3 pbc="T T T"
Sm 0.0942 1.0632 1.4420
Sm 3.5583 3.1897 5.3826
Sm 3.7467 1.0632 2.4986
Sm 7.2108 3.1897 6.4392
Mn 0.9706 1.0632 4.3740
Mn 2.6819 3.1897 0.4334
Mn 4.6231 1.0632 7.4478
Mn 6.3344 3.1897 3.5072
Ge 1.5979 3.1897 3.0421
Ge 2.0546 1.0632 6.9827
Ge 5.2504 3.1897 0.8985
Ge 5.7071 1.0632 4.8391
```

[6]
Diffraction record for Tb2Be2O5. The XRD peak list is theoretical, not measured: it uses a cell relaxed with PBE and Cu Ka.
Neutral-atom scattering factors, no anomalous dispersion.

The 10 most intense peaks (2θ = 15–90°), by angle:
d 3.615, 2θ = 24.62°, I = 100; d 3.400, 2θ = 26.21°, I = 34; d 2.557, 2θ = 35.10°, I = 38; d 2.477, 2θ = 36.27°, I = 88; d 2.043, 2θ = 44.33°, I = 74; d 1.808, 2θ = 50.49°, I = 29; d 1.617, 2θ = 56.95°, I = 21; d 1.596, 2θ = 57.76°, I = 17; d 1.538, 2θ = 60.15°, I = 18; d 1.460, 2θ = 63.74°, I = 35

Crystal structure
```
9
Lattice="3.6155 0.0000 0.0000 0.0000 3.6155 0.0000 0.0000 0.0000 6.7994" Properties=species:S:1:pos:R:3 pbc="T T T"
Tb 0.0000 0.0000 0.0000
Tb 0.0000 0.0000 3.3997
Be 1.8077 1.8077 1.5796
Be 1.8077 1.8077 5.2198
O 0.0000 1.8077 1.8929
O 0.0000 1.8077 4.9066
O 1.8077 0.0000 1.8929
O 1.8077 0.0000 4.9066
O 1.8077 1.8077 0.0000
```

[7]
Diffraction record for Ce2Sb2Se5. The XRD peak list is theoretical, not measured: it uses a cell relaxed with PBE and Cu Ka.
Neutral-atom scattering factors, no anomalous dispersion.

The 10 most intense peaks (2θ = 15–90°), by angle:
d 3.706, 2θ = 24.02°, I = 26; d 3.690, 2θ = 24.12°, I = 17; d 3.643, 2θ = 24.44°, I = 18; d 2.995, 2θ = 29.83°, I = 52; d 2.968, 2θ = 30.11°, I = 100; d 2.329, 2θ = 38.66°, I = 27; d 2.295, 2θ = 39.25°, I = 24; d 2.120, 2θ = 42.66°, I = 18; d 2.109, 2θ = 42.89°, I = 68; d 1.730, 2θ = 52.91°, I = 19

Crystal structure
```
36
Lattice="15.8560 0.0000 0.0000 0.0000 5.9901 0.0000 -4.2208 0.0000 11.1100" Properties=species:S:1:pos:R:3 pbc="T T T"
Ce 0.4425 1.3973 3.4656
Ce -1.6679 1.5977 9.0206
Ce 4.6533 1.4108 1.8167
Ce 2.5429 1.5842 7.3717
Ce 9.0923 4.4059 3.7384
Ce 6.9819 4.5793 9.2934
Ce 13.3031 4.3924 2.0895
Ce 11.1927 4.5928 7.6445
Sb 1.6815 4.2574 0.6269
Sb -0.4289 4.7277 6.1819
Sb 4.7631 4.1025 5.3328
Sb 2.6527 4.8826 10.8878
Sb 8.9825 1.1075 0.2222
Sb 6.8721 1.8876 5.7772
Sb 12.0641 1.2624 4.9281
Sb 9.9537 1.7327 10.4831
Se 0.2676 4.4076 3.2711
Se -1.8428 4.5775 8.8261
Se 1.6660 1.2421 0.7082
Se -0.4444 1.7530 6.2632
Se 4.0891 4.3966 1.6164
Se 1.9787 4.5886 7.1714
Se 1.0090 1.4771 9.9687
Se 3.1195 1.5180 4.4137
Se 4.3336 3.0582 9.3415
Se 6.4440 5.9270 3.7865
Se 5.1911 0.0631 7.3236
Se 7.3016 2.9319 1.7686
Se 8.5157 4.4722 6.6964
Se 10.6262 4.5130 1.1414
Se 9.6565 1.4016 3.9386
Se 7.5461 1.5935 9.4937
Se 12.0796 4.2372 4.8468
Se 9.9691 4.7480 10.4018
Se 13.4780 1.4126 2.2839
Se 11.3676 1.5825 7.8390
```

[8]
Diffraction record for MnBi2Te4. The XRD peak list is theoretical, not measured: it uses a cell relaxed with PBE and Cu Ka.
Neutral-atom scattering factors, no anomalous dispersion.

The 10 most intense peaks (2θ = 15–90°), by angle:
d 3.543, 2θ = 25.13°, I = 9; d 3.173, 2θ = 28.13°, I = 100; d 2.650, 2θ = 33.82°, I = 14; d 2.312, 2θ = 38.96°, I = 28; d 2.181, 2θ = 41.41°, I = 40; d 1.797, 2θ = 50.80°, I = 21; d 1.586, 2θ = 58.16°, I = 9; d 1.574, 2θ = 58.66°, I = 10; d 1.387, 2θ = 67.54°, I = 18; d 1.283, 2θ = 73.88°, I = 9

Crystal structure
```
7
Lattice="2.1807 1.2590 13.6409 -2.1807 1.2590 13.6409 0.0000 -2.5180 13.6409" Properties=species:S:1:pos:R:3 pbc="T T T"
Mn 0.0000 0.0000 0.0000
Bi 0.0000 0.0000 17.3229
Bi 0.0000 0.0000 23.5997
Te 0.0000 0.0000 5.4409
Te 0.0000 0.0000 12.1139
Te 0.0000 0.0000 28.8087
Te 0.0000 0.0000 35.4818
```

[9]
Diffraction record for Ho2Cu4Br13N3. The XRD peak list is theoretical, not measured: it uses a cell relaxed with PBE and Cu Ka.
Neutral-atom scattering factors, no anomalous dispersion.

The 10 most intense peaks (2θ = 15–90°), by angle:
d 5.511, 2θ = 16.08°, I = 97; d 3.323, 2θ = 26.83°, I = 78; d 3.182, 2θ = 28.04°, I = 63; d 2.946, 2θ = 30.34°, I = 32; d 2.756, 2θ = 32.49°, I = 70; d 2.465, 2θ = 36.45°, I = 45; d 2.162, 2θ = 41.79°, I = 29; d 2.121, 2θ = 42.62°, I = 32; d 1.949, 2θ = 46.61°, I = 100; d 1.788, 2θ = 51.08°, I = 26

Crystal structure
```
44
Lattice="11.0226 0.0000 0.0000 0.0000 11.0226 0.0000 0.0000 0.0000 11.0226" Properties=species:S:1:pos:R:3 pbc="T T T"
Ho 0.0000 0.0000 0.0000
Ho 0.0000 5.5113 5.5113
Ho 5.5113 0.0000 5.5113
Ho 5.5113 5.5113 0.0000
Cu 1.3147 1.3147 4.1966
Cu 1.3147 4.1966 1.3147
Cu 4.1966 1.3147 1.3147
Cu 4.1966 4.1966 4.1966
Cu 6.8260 6.8260 6.8260
Cu 6.8260 9.7079 9.7079
Cu 9.7079 6.8260 9.7079
Cu 9.7079 9.7079 6.8260
Br 0.2723 2.7514 5.8187
Br 0.2723 2.7599 10.7153
Br 0.3074 5.7836 8.2712
Br 0.3074 10.7503 8.2628
Br 2.7557 2.7557 2.7557
Br 2.7514 5.8187 0.2723
Br 2.7599 5.8187 5.2390
Br 2.7599 10.7153 0.2723
Br 2.7514 10.7153 5.2390
Br 5.2040 5.7836 8.2628
Br 5.2040 10.7503 8.2712
Br 5.2390 2.7599 5.8187
Br 5.2390 2.7514 10.7153
Br 5.7836 8.2712 0.3074
Br 5.7836 8.2628 5.2040
Br 5.8187 0.2723 2.7514
Br 5.8187 5.2390 2.7599
Br 8.2712 0.3074 5.7836
Br 8.2628 0.3074 10.7503
Br 8.2628 5.2040 5.7836
Br 8.2712 5.2040 10.7503
Br 8.2670 8.2670 8.2670
Br 10.7153 0.2723 2.7599
Br 10.7153 5.2390 2.7514
Br 10.7503 8.2628 0.3074
Br 10.7503 8.2712 5.2040
N 2.7557 2.7557 8.2670
N 2.7557 8.2670 2.7557
N 2.7557 8.2670 8.2670
N 8.2670 2.7557 2.7557
N 8.2670 2.7557 8.2670
N 8.2670 8.2670 2.7557
```

[10]
Diffraction record for NbRu3. The XRD peak list is theoretical, not measured: it uses a cell relaxed with PBE and Cu Ka.
Neutral-atom scattering factors, no anomalous dispersion.

The 10 most intense peaks (2θ = 15–90°), by angle:
d 2.403, 2θ = 37.42°, I = 25; d 2.253, 2θ = 40.01°, I = 25; d 2.121, 2θ = 42.64°, I = 100; d 1.877, 2θ = 48.51°, I = 2; d 1.644, 2θ = 55.94°, I = 14; d 1.388, 2θ = 67.50°, I = 17; d 1.274, 2θ = 74.49°, I = 16; d 1.202, 2θ = 79.82°, I = 3; d 1.181, 2θ = 81.46°, I = 18; d 1.161, 2θ = 83.21°, I = 14

Crystal structure
```
4
Lattice="2.7751 0.0000 0.0000 -1.3875 2.4033 0.0000 0.0000 0.0000 9.0133" Properties=species:S:1:pos:R:3 pbc="T T T"
Nb 0.0000 0.0000 0.0000
Ru 0.0000 0.0000 4.5066
Ru 0.0000 1.6022 2.3877
Ru 0.0000 1.6022 6.6256
```

Copy entry 3 word for word.
Diffraction record for Sb2O5. The XRD peak list is theoretical, not measured: it uses a cell relaxed with PBE and Cu Ka.
Neutral-atom scattering factors, no anomalous dispersion.

The 10 most intense peaks (2θ = 15–90°), by angle:
d 3.851, 2θ = 23.10°, I = 100; d 3.717, 2θ = 23.94°, I = 46; d 2.917, 2θ = 30.64°, I = 16; d 2.674, 2θ = 33.51°, I = 44; d 2.563, 2θ = 35.01°, I = 12; d 1.925, 2θ = 47.21°, I = 14; d 1.818, 2θ = 50.17°, I = 10; d 1.710, 2θ = 53.61°, I = 15; d 1.674, 2θ = 54.85°, I = 18; d 1.633, 2θ = 56.32°, I = 10

Crystal structure
```
14
Lattice="5.8349 0.0000 0.0000 0.0000 10.2510 0.0000 0.0000 0.0000 3.7170" Properties=species:S:1:pos:R:3 pbc="T T T"
Sb 1.3003 1.4323 0.0000
Sb 1.6171 6.5578 0.0000
Sb 4.2177 3.6932 0.0000
Sb 4.5346 8.8187 0.0000
O 0.0000 0.0000 0.0000
O 0.2873 3.0583 0.0000
O 1.1944 6.1192 1.8585
O 1.7230 0.9937 1.8585
O 2.6302 8.1838 0.0000
O 2.9174 5.1255 0.0000
O 3.2047 2.0672 0.0000
O 4.1119 9.2574 1.8585
O 4.6404 4.1318 1.8585
O 5.5476 7.1928 0.0000
```